Calculated powder X-ray diffraction pattern
Compound: SbP2AuF12
Radiation: Cu Kα, 1.54184 Å
Structure: the GGA-PBE geometry in the Materials Project

Peak list (10 most intense, 15 to 90 degrees two-theta, by intensity)
(0 2 0), 2θ 19.46, rel. 1000; (1 0 -2), 2θ 20.74, rel. 856; (1 2 0), 2θ 22.93, rel. 673; (2 2 -2), 2θ 31.20, rel. 561; (2 2 2), 2θ 46.87, rel. 515; (1 2 -2), 2θ 28.59, rel. 513; (2 0 0), 2θ 24.15, rel. 507; (0 0 2), 2θ 23.93, rel. 270; (0 2 2), 2θ 31.03, rel. 249; (0 1 1), 2θ 15.41, rel. 244

Crystal structure
```
data_SbP2AuF12
_symmetry_space_group_name_H-M 'P 1'
_symmetry_Int_Tables_number 1
_symmetry_space_group_name_Hall 'P 1'
_cell_length_a 8.486
_cell_length_b 9.125
_cell_length_c 8.567
_cell_angle_alpha 90.00
_cell_angle_beta 119.76
_cell_angle_gamma 90.00
loop_
_atom_site_label
_atom_site_fract_x
_atom_site_fract_y
_atom_site_fract_z
_atom_site_occupancy
Sb1 0.000 0.000 0.000 1
Sb2 0.000 0.500 0.500 1
P1 0.310 0.027 0.653 1
P2 0.310 0.473 0.153 1
P3 0.690 0.527 0.847 1
P4 0.690 0.973 0.347 1
Au1 0.000 0.000 0.500 1
Au2 0.000 0.500 0.000 1
F1 0.140 0.590 0.405 1
F2 0.140 0.910 0.905 1
F3 0.148 0.174 0.060 1
F4 0.148 0.326 0.560 1
F5 0.164 0.579 0.733 1
F6 0.164 0.921 0.233 1
F7 0.395 0.102 0.840 1
F8 0.395 0.398 0.340 1
F9 0.398 0.114 0.561 1
F10 0.398 0.386 0.061 1
F11 0.419 0.619 0.201 1
F12 0.419 0.881 0.701 1
F13 0.581 0.119 0.299 1
F14 0.581 0.381 0.799 1
F15 0.602 0.614 0.939 1
F16 0.602 0.886 0.439 1
F17 0.605 0.602 0.660 1
F18 0.605 0.898 0.160 1
F19 0.836 0.079 0.767 1
F20 0.836 0.421 0.267 1
F21 0.852 0.674 0.440 1
F22 0.852 0.826 0.940 1
F23 0.860 0.090 0.095 1
F24 0.860 0.410 0.595 1
```